For MgMnH3, a GGA-PBE-relaxed structure gives the computed powder diffraction line list in this record (copper Kα).

Cell and atoms:
abc: 4.3977 4.3977 13.2954
angles: 90.00 90.00 120.00
Space group R-3m (No. 166, hexagonal axes)
Asymmetric unit:
Mg1 0.0000 0.0000 0.1058 x6
Mn1 0.0000 0.0000 0.3155 x6
H1 0.0093 0.5046 0.0893 x18

The 6 most intense peaks (2θ = 10–90°), by angle:
two_theta	intensity	(hkl)
20.04	61.6	0 0 3
26.98	53.1	0 1 2
41.05	100.0	1 1 0
41.41	81.4	0 1 5
46.08	38.4	1 1 3
59.73	27.8	2 0 5